Record 1
The following is a simulated powder diffraction line list of MoO3. It was derived from a structure optimized by DFT (GGA+U), using Cu Kα (λ = 1.5418 Å).
Kinematic intensities with the Lorentz-polarization factor, no thermal factor.

Structure:
```
24
Lattice="6.096 0.000 0.000 -3.048 5.279 0.000 0.000 0.000 11.205" Properties=species:S:1:pos:R:3 pbc="T T T"
Mo -1.018 1.763 0.000
Mo -2.030 3.516 5.603
Mo 2.036 0.000 0.000
Mo 1.018 1.763 5.603
Mo 4.060 0.000 5.603
Mo 2.030 3.516 0.000
O 0.000 0.000 5.164
O 0.000 0.000 10.767
O -0.797 1.380 1.725
O -1.161 2.011 9.447
O -1.887 3.269 3.844
O -2.251 3.899 7.328
O 1.594 0.000 1.725
O 0.797 1.380 7.328
O 0.000 3.520 0.235
O 0.000 3.520 5.838
O 2.322 0.000 9.447
O 1.161 2.011 3.844
O 3.775 0.000 3.844
O 1.887 3.269 9.447
O 3.048 1.760 0.235
O 3.048 1.760 5.838
O 4.502 0.000 7.328
O 2.251 3.899 1.725
```

Top 8 peaks for 10° ≤ 2θ ≤ 90°, sorted by position:
15.82°, I = 86.1; 29.30°, I = 11.9; 30.39°, I = 100.0; 38.11°, I = 20.1; 50.55°, I = 18.3; 51.96°, I = 18.5; 54.67°, I = 20.1; 62.31°, I = 11.8

***

Record 2
The following is a simulated powder diffraction line list of MgCoP2O7. It was derived from a structure optimized by DFT (GGA+U), using Cu Kα (λ = 1.5418 Å).
Kinematic intensities with the Lorentz-polarization factor, no thermal factor.

Structure:
```
22
Lattice="5.623 0.000 0.000 1.969 6.053 0.000 0.365 0.808 7.326" Properties=species:S:1:pos:R:3 pbc="T T T"
Mg 1.734 2.349 2.511
Mg 6.223 4.512 4.815
Co 3.344 5.714 5.783
Co 4.613 1.147 1.542
P 3.244 5.155 2.837
P 2.712 2.644 6.624
P 5.245 4.217 0.702
P 4.713 1.705 4.489
O 2.063 4.242 3.170
O 0.859 0.513 2.416
O 2.222 4.017 6.094
O 1.727 1.521 6.373
O 2.828 1.945 0.749
O 3.892 4.492 1.539
O 4.271 5.189 4.001
O 3.686 1.672 3.325
O 4.066 2.369 5.787
O 5.129 4.916 6.577
O 6.231 5.340 0.953
O 5.736 2.844 1.232
O 7.098 6.347 4.910
O 5.894 2.619 4.156
```

Top 8 peaks for 10° ≤ 2θ ≤ 90°, sorted by position:
20.70°, I = 23.3; 28.87°, I = 33.4; 29.27°, I = 65.4; 29.37°, I = 41.8; 29.73°, I = 100.0; 33.52°, I = 26.7; 41.56°, I = 16.5; 57.09°, I = 13.7

***

Record 3
The following is a simulated powder diffraction line list of LiCoO2. It was derived from a structure optimized by DFT (GGA+U), using Cu Kα (λ = 1.5418 Å).
Kinematic intensities with the Lorentz-polarization factor, no thermal factor.

Structure:
```
16
Lattice="-2.894 2.907 4.119 2.894 -2.907 4.119 2.894 2.907 -4.119" Properties=species:S:1:pos:R:3 pbc="T T T"
Li 0.000 0.000 0.000
Li -1.447 1.454 2.060
Li 0.000 2.907 0.000
Li 1.447 1.454 2.060
Co 1.447 1.454 -2.060
Co 1.447 -1.454 2.060
Co 2.894 0.000 0.000
Co 0.000 0.000 4.119
O 2.894 -0.132 2.032
O 2.894 2.775 -2.032
O 1.515 1.454 -0.101
O 4.273 1.454 -0.101
O -1.379 1.454 4.220
O 1.379 1.454 4.220
O 0.000 0.132 6.151
O 0.000 3.040 2.087
```

Top 8 peaks for 10° ≤ 2θ ≤ 90°, sorted by position:
18.71°, I = 100.0; 36.22°, I = 28.8; 36.35°, I = 13.9; 37.88°, I = 10.3; 43.96°, I = 25.1; 44.15°, I = 49.5; 48.25°, I = 11.7; 64.07°, I = 33.8

***

Record 4
The following is a simulated powder diffraction line list of LiV6O7F5. It was derived from a structure optimized by DFT (GGA+U), using Cu Kα (λ = 1.5418 Å).
Kinematic intensities with the Lorentz-polarization factor, no thermal factor.

Structure:
```
19
Lattice="5.697 0.000 0.000 1.728 5.450 0.000 2.361 1.796 6.893" Properties=species:S:1:pos:R:3 pbc="T T T"
Li 0.000 0.000 0.000
V 3.509 4.779 6.309
V 2.364 3.695 2.969
V 4.986 5.877 4.073
V 4.382 5.002 0.846
V 6.199 2.668 5.217
V 5.097 1.874 1.935
O 3.454 6.453 5.325
O 3.915 4.964 2.754
O 3.498 2.127 3.027
O 5.088 4.278 5.284
O 4.092 0.838 0.459
O 5.361 3.408 0.686
O 6.377 2.653 3.233
F 1.186 1.231 0.668
F 2.426 3.906 0.852
F 6.301 6.877 5.599
F 6.815 5.447 3.009
F 7.958 3.783 5.034
```

Top 8 peaks for 10° ≤ 2θ ≤ 90°, sorted by position:
26.11°, I = 99.3; 26.44°, I = 100.0; 34.34°, I = 26.6; 34.48°, I = 74.4; 39.26°, I = 23.3; 51.66°, I = 28.7; 51.80°, I = 26.5; 52.03°, I = 28.7